No. 1
Ti5InPd4: computed powder diffractogram (a wavelength of 1.5418 Å), based on a structure optimized by DFT (GGA-PBE).
Kinematic intensities with the Lorentz-polarization factor, no thermal factor.

The 8 most intense peaks (2θ from 10° to 90°), in order of rising 2θ:
d_spacing	2theta	I (rel.)	h k l
3.918	22.70	31	0 1 0
2.330	38.64	100	1 1 0
2.317	38.88	95	0 1 5
2.040	44.40	65	1 0 5
1.959	46.35	29	0 2 0
1.413	66.13	37	1 2 5
1.229	77.72	23	2 1 5
1.223	78.18	20	1 1 10

Structural model:
a = 2.8986 Å, b = 3.9177 Å, c = 14.3630 Å
α = 90.00°, β = 90.00°, γ = 90.00°
Sites, in units of the cell vectors:
Ti 0.0000 0.0000 0.0000
Ti 0.0000 0.0000 0.1928
Ti 0.0000 0.0000 0.3875
Ti 0.0000 0.0000 0.6125
Ti 0.0000 0.0000 0.8072
In 0.5000 0.5000 0.5000
Pd 0.5000 0.5000 0.0972
Pd 0.5000 0.5000 0.2934
Pd 0.5000 0.5000 0.7066
Pd 0.5000 0.5000 0.9028

=====

No. 2
Ti2InPd5: computed powder diffractogram (a wavelength of 1.5418 Å), based on a structure optimized by DFT (GGA-PBE).
Kinematic intensities with the Lorentz-polarization factor, no thermal factor.

The 8 most intense peaks (2θ from 10° to 90°), in order of rising 2θ:
d_spacing	2theta	I (rel.)	h k l
2.314	38.92	100	0 4 1
2.269	39.72	7	2 1 1
2.028	44.69	18	0 0 2
1.993	45.52	29	2 4 0
1.421	65.70	19	2 4 2
1.219	78.48	12	0 4 3
1.205	79.58	6	4 4 1
1.203	79.75	10	2 8 1

Structural model:
a = 5.6456 Å, b = 11.2550 Å, c = 4.0551 Å
α = 90.00°, β = 90.00°, γ = 90.00°
Sites, in units of the cell vectors:
Ti 0.1997 0.1406 0.0000
Ti 0.3003 0.6406 0.0000
Ti 0.6997 0.3594 0.0000
Ti 0.8003 0.8594 0.0000
In 0.0000 0.5000 0.5000
In 0.5000 0.0000 0.5000
Pd 0.0000 0.0000 0.5000
Pd 0.0386 0.7510 0.5000
Pd 0.2201 0.3785 0.0000
Pd 0.2799 0.8785 0.0000
Pd 0.4614 0.2510 0.5000
Pd 0.5000 0.5000 0.5000
Pd 0.5386 0.7490 0.5000
Pd 0.7201 0.1215 0.0000
Pd 0.7799 0.6215 0.0000
Pd 0.9614 0.2490 0.5000

=====

No. 3
Ti2InPd3: computed powder diffractogram (a wavelength of 1.5418 Å), based on a structure optimized by DFT (GGA-PBE).
Kinematic intensities with the Lorentz-polarization factor, no thermal factor.

The 8 most intense peaks (2θ from 10° to 90°), in order of rising 2θ:
d_spacing	2theta	I (rel.)	h k l
3.216	27.74	13	0 1 2
2.285	39.44	97	1 0 4
2.264	39.82	100	1 1 0
1.608	57.29	31	0 2 4
1.323	71.27	11	0 1 8
1.311	72.04	32	2 1 4
1.307	72.29	16	3 0 0
1.132	85.86	10	2 2 0

Structural model:
a = 4.5275 Å, b = 4.5275 Å, c = 11.2452 Å
α = 90.00°, β = 90.00°, γ = 120.00°
Sites, in units of the cell vectors:
Ti 0.0000 0.0000 0.0000
Ti 0.0000 0.0000 0.5000
Ti 0.3333 0.6667 0.1734
Ti 0.6667 0.3333 0.8266
In 0.3333 0.6667 0.6732
In 0.6667 0.3333 0.3268
Pd 0.0000 0.0000 0.2315
Pd 0.0000 0.0000 0.7685
Pd 0.3333 0.6667 0.4264
Pd 0.3333 0.6667 0.9387
Pd 0.6667 0.3333 0.0613
Pd 0.6667 0.3333 0.5736

=====

No. 4
Tl4InPd15: computed powder diffractogram (a wavelength of 1.5418 Å), based on a structure optimized by DFT (GGA-PBE).
Kinematic intensities with the Lorentz-polarization factor, no thermal factor.

The 8 most intense peaks (2θ from 10° to 90°), in order of rising 2θ:
d_spacing	2theta	I (rel.)	h k l
2.354	38.24	100	1 1 5
2.056	44.04	17	0 0 10
2.029	44.65	32	2 0 0
1.444	64.51	21	2 0 10
1.435	64.99	10	2 2 0
1.237	77.10	12	1 1 15
1.225	77.98	25	3 1 5
1.177	81.86	11	2 2 10

Structural model:
a = 4.0589 Å, b = 4.0589 Å, c = 20.5625 Å
α = 90.00°, β = 90.00°, γ = 90.00°
Sites, in units of the cell vectors:
Tl 0.0000 0.0000 0.1006
Tl 0.0000 0.0000 0.3015
Tl 0.0000 0.0000 0.6985
Tl 0.0000 0.0000 0.8994
In 0.0000 0.0000 0.5000
Pd 0.0000 0.5000 0.0000
Pd 0.0000 0.5000 0.2012
Pd 0.0000 0.5000 0.4028
Pd 0.0000 0.5000 0.5972
Pd 0.0000 0.5000 0.7988
Pd 0.5000 0.0000 0.0000
Pd 0.5000 0.0000 0.2012
Pd 0.5000 0.0000 0.4028
Pd 0.5000 0.0000 0.5972
Pd 0.5000 0.0000 0.7988
Pd 0.5000 0.5000 0.1006
Pd 0.5000 0.5000 0.3022
Pd 0.5000 0.5000 0.5000
Pd 0.5000 0.5000 0.6978
Pd 0.5000 0.5000 0.8994